(1)
Theoretical powder X-ray diffraction pattern
Compound: In3Sb2
Radiation: Cu Kα
Structure: DFT lattice parameters and positions (GGA-PBE)
Kinematic intensities with the Lorentz-polarization factor, no thermal factor.

Cell and atoms:
```
In3Sb2
1.0
2.208 1.275 8.686
-2.208 1.275 8.686
0.000 -2.550 8.686
In Sb
3 2
Direct
0.000 0.000 0.000
0.204 0.204 0.204
0.796 0.796 0.796
0.401 0.401 0.401
0.599 0.599 0.599
```

Largest 12 diffraction maxima, low angle first, 15 to 90 degrees two-theta:
2theta	d_spacing	Rel. int.
28.96	3.083	100
40.87	2.208	39
41.96	2.153	35
50.86	1.795	20
52.69	1.737	6
60.01	1.542	12
67.21	1.393	17
68.76	1.365	15
74.42	1.275	6
75.16	1.264	12
77.38	1.233	5
88.57	1.104	4



(2)
Theoretical powder X-ray diffraction pattern
Compound: BaCuH6Rh
Radiation: Cu Kα
Structure: DFT lattice parameters and positions (GGA-PBE)
Kinematic intensities with the Lorentz-polarization factor, no thermal factor.

Cell and atoms:
```
BaCuH6Rh
1.0
4.869 0.000 0.000
-2.434 4.217 0.000
0.000 0.000 5.094
Ba Cu H Rh
1 1 6 1
Direct
0.000 0.000 0.000
0.333 0.667 0.500
0.421 0.017 0.687
0.421 0.404 0.313
0.596 0.017 0.313
0.596 0.579 0.687
0.983 0.404 0.687
0.983 0.579 0.313
0.667 0.333 0.500
```

Largest 12 diffraction maxima, low angle first, 15 to 90 degrees two-theta:
2theta	d_spacing	Rel. int.
27.46	3.248	100
35.24	2.547	16
36.92	2.434	42
46.62	1.948	23
51.96	1.760	32
58.61	1.575	11
60.91	1.521	20
66.53	1.406	7
77.58	1.231	9
83.12	1.162	8
85.12	1.140	8
86.19	1.128	7



(3)
Theoretical powder X-ray diffraction pattern
Compound: Ge5Te8As2
Radiation: Cu Kα
Structure: DFT lattice parameters and positions (GGA-PBE)
Kinematic intensities with the Lorentz-polarization factor, no thermal factor.

Cell and atoms:
```
Ge5Te8As2
1.0
4.193 0.000 0.000
-2.097 3.631 0.000
0.000 0.000 27.528
Ge Te As
5 8 2
Direct
0.000 0.000 0.000
0.333 0.667 0.128
0.333 0.667 0.743
0.667 0.333 0.257
0.667 0.333 0.872
0.000 0.000 0.191
0.000 0.000 0.809
0.333 0.667 0.319
0.333 0.667 0.559
0.333 0.667 0.936
0.667 0.333 0.064
0.667 0.333 0.441
0.667 0.333 0.681
0.000 0.000 0.386
0.000 0.000 0.614
```

Largest 12 diffraction maxima, low angle first, 15 to 90 degrees two-theta:
2theta	d_spacing	Rel. int.
26.40	3.377	9
29.47	3.031	100
31.42	2.847	10
41.15	2.194	23
43.15	2.097	42
43.94	2.061	15
53.11	1.724	19
61.15	1.516	7
70.74	1.332	16
70.85	1.330	14
77.75	1.228	7
79.12	1.210	7



(4)
Theoretical powder X-ray diffraction pattern
Compound: Sr2YCu2Bi2O8
Radiation: Cu Kα
Structure: DFT lattice parameters and positions (GGA-PBE)
Kinematic intensities with the Lorentz-polarization factor, no thermal factor.

Cell and atoms:
```
Sr2YCu2Bi2O8
1.0
2.758 -15.303 0.000
2.758 15.303 0.000
0.000 0.000 5.350
Sr Y Cu Bi O
4 2 4 4 16
Direct
0.109 0.383 0.000
0.383 0.109 0.500
0.617 0.891 0.500
0.891 0.617 0.000
0.000 0.500 0.000
0.500 0.000 0.500
0.051 0.450 0.500
0.450 0.051 0.000
0.550 0.949 0.000
0.949 0.550 0.500
0.219 0.314 0.500
0.314 0.219 0.000
0.686 0.781 0.000
0.781 0.686 0.500
0.108 0.340 0.500
0.202 0.798 0.250
0.202 0.798 0.750
0.290 0.392 0.000
0.299 0.701 0.250
0.299 0.701 0.750
0.340 0.108 0.000
0.392 0.290 0.500
0.608 0.710 0.500
0.660 0.892 0.000
0.701 0.299 0.250
0.701 0.299 0.750
0.710 0.608 0.000
0.798 0.202 0.250
0.798 0.202 0.750
0.892 0.660 0.500
```

Largest 12 diffraction maxima, low angle first, 15 to 90 degrees two-theta:
2theta	d_spacing	Rel. int.
24.77	3.594	37
27.42	3.253	93
29.18	3.061	20
30.99	2.885	100
32.46	2.758	51
33.50	2.675	50
35.21	2.549	36
44.21	2.049	20
45.01	2.014	21
47.34	1.920	47
54.88	1.673	20
56.99	1.616	20



(5)
Theoretical powder X-ray diffraction pattern
Compound: Ba3Ca7In4
Radiation: Cu Kα
Structure: DFT lattice parameters and positions (GGA-PBE)
Kinematic intensities with the Lorentz-polarization factor, no thermal factor.

Cell and atoms:
```
Ba3Ca7In4
1.0
9.894 -2.735 0.000
9.894 2.735 0.000
-7.568 0.000 10.138
Ba Ca In
3 7 4
Direct
0.000 0.000 0.000
0.305 0.305 0.290
0.695 0.695 0.710
0.000 0.000 0.500
0.168 0.168 0.418
0.311 0.311 0.973
0.490 0.490 0.713
0.510 0.510 0.287
0.689 0.689 0.027
0.832 0.832 0.582
0.106 0.106 0.827
0.333 0.333 0.734
0.667 0.667 0.266
0.894 0.894 0.173
```

Largest 12 diffraction maxima, low angle first, 15 to 90 degrees two-theta:
2theta	d_spacing	Rel. int.
17.49	5.069	25
23.40	3.801	38
25.91	3.438	17
26.71	3.337	45
26.93	3.311	51
27.81	3.208	100
28.40	3.142	25
32.64	2.744	25
32.74	2.735	54
32.98	2.716	39
36.30	2.475	18
43.45	2.083	16



(6)
Theoretical powder X-ray diffraction pattern
Compound: Ga2Ag5Au
Radiation: Cu Kα
Structure: DFT lattice parameters and positions (GGA-PBE)
Kinematic intensities with the Lorentz-polarization factor, no thermal factor.

Cell and atoms:
```
Ga2Ag5Au
1.0
5.891 0.000 0.000
0.000 11.774 0.000
0.000 0.000 4.047
Ga Ag Au
4 10 2
Direct
0.235 0.123 0.000
0.265 0.623 0.000
0.735 0.377 0.000
0.765 0.877 0.000
0.000 0.500 0.500
0.017 0.750 0.500
0.234 0.372 0.000
0.266 0.872 0.000
0.483 0.250 0.500
0.500 0.000 0.500
0.517 0.750 0.500
0.734 0.128 0.000
0.766 0.628 0.000
0.983 0.250 0.500
0.000 0.000 0.500
0.500 0.500 0.500
```

Largest 12 diffraction maxima, low angle first, 15 to 90 degrees two-theta:
2theta	d_spacing	Rel. int.
16.83	5.268	3
21.96	4.047	3
27.80	3.209	2
30.36	2.945	3
37.78	2.381	100
43.46	2.082	33
44.79	2.023	15
63.15	1.472	10
64.18	1.451	20
76.00	1.252	23
77.89	1.226	11
80.72	1.190	10